1.
Simulated powder diffractogram
Compound: KPr3S4
Radiation: λ = 1.5418 Å (Cu Kα)
Structure: a DFT-relaxed cell (PBE, Alexandria)
Intensities are scaled so that the largest is 100.

Most intense lines, 2θ from 15° to 90°, sorted by position:
d 3.531, 2θ = 25.22°, I = 38
d 3.365, 2θ = 26.49°, I = 59
d 3.210, 2θ = 27.80°, I = 89
d 3.038, 2θ = 29.40°, I = 70
d 2.861, 2θ = 31.26°, I = 100
d 2.688, 2θ = 33.34°, I = 47
d 2.091, 2θ = 43.26°, I = 49
d 2.080, 2θ = 43.50°, I = 85
d 1.971, 2θ = 46.06°, I = 39
d 1.792, 2θ = 50.95°, I = 35

Structural model:
```
KPr3S4
1.0
4.1606 0.0000 0.0000
-2.0803 3.6032 0.0000
0.0000 0.0000 28.2482
K Pr S
2 6 8
direct
0.3333 0.6667 0.2500
0.6667 0.3333 0.7500
0.0000 0.0000 0.0000
0.0000 0.0000 0.5000
0.3333 0.6667 0.6177
0.3333 0.6667 0.8823
0.6667 0.3333 0.1177
0.6667 0.3333 0.3823
0.0000 0.0000 0.1730
0.0000 0.0000 0.3270
0.0000 0.0000 0.6730
0.0000 0.0000 0.8270
0.3333 0.6667 0.0593
0.3333 0.6667 0.4407
0.6667 0.3333 0.5593
0.6667 0.3333 0.9407
```

2.
Simulated powder diffractogram
Compound: KPrS14
Radiation: λ = 1.5418 Å (Cu Kα)
Structure: a DFT-relaxed cell (PBE, Alexandria)
Intensities are scaled so that the largest is 100.

Most intense lines, 2θ from 15° to 90°, sorted by position:
d 5.196, 2θ = 17.07°, I = 25
d 3.677, 2θ = 24.20°, I = 27
d 3.488, 2θ = 25.53°, I = 61
d 3.356, 2θ = 26.56°, I = 100
d 3.314, 2θ = 26.91°, I = 53
d 2.479, 2θ = 36.23°, I = 28
d 2.449, 2θ = 36.70°, I = 29
d 2.332, 2θ = 38.60°, I = 31
d 2.199, 2θ = 41.04°, I = 25
d 2.128, 2θ = 42.49°, I = 24

Structural model:
```
KPrS14
1.0
-4.8975 7.3563 6.7420
4.8975 -7.3563 6.7420
4.8975 7.3563 -6.7420
K Pr S
2 2 28
direct
0.2992 0.0492 0.2500
0.7008 0.9508 0.7500
0.0000 0.0000 0.5000
0.0000 0.5000 0.0000
0.0214 0.0785 0.2896
0.0214 0.7318 0.9429
0.0612 0.6978 0.3634
0.0931 0.1650 0.9282
0.1655 0.3022 0.8634
0.2632 0.8350 0.4282
0.2876 0.6054 0.6822
0.2888 0.0785 0.5571
0.2888 0.7318 0.2104
0.3165 0.4488 0.4056
0.3165 0.9109 0.8677
0.4233 0.6054 0.8178
0.4567 0.0891 0.9056
0.4567 0.5512 0.3677
0.5433 0.4488 0.6323
0.5433 0.9109 0.0944
0.5767 0.3946 0.1822
0.6835 0.0891 0.1323
0.6835 0.5512 0.5944
0.7112 0.2682 0.7896
0.7112 0.9215 0.4429
0.7124 0.3946 0.3178
0.7368 0.1650 0.5718
0.8345 0.6978 0.1366
0.9069 0.8350 0.0718
0.9388 0.3022 0.6366
0.9786 0.2682 0.0571
0.9786 0.9215 0.7104
```

3.
Simulated powder diffractogram
Compound: K3Pr3ScS8
Radiation: λ = 1.5418 Å (Cu Kα)
Structure: a DFT-relaxed cell (PBE, Alexandria)
Intensities are scaled so that the largest is 100.

Most intense lines, 2θ from 15° to 90°, sorted by position:
d 3.746, 2θ = 23.75°, I = 12
d 3.531, 2θ = 25.22°, I = 21
d 3.407, 2θ = 26.15°, I = 21
d 3.017, 2θ = 29.61°, I = 100
d 2.389, 2θ = 37.66°, I = 22
d 2.209, 2θ = 40.85°, I = 33
d 2.065, 2θ = 43.84°, I = 22
d 1.990, 2θ = 45.58°, I = 16
d 1.704, 2θ = 53.80°, I = 17
d 1.314, 2θ = 71.84°, I = 13

Structural model:
```
K3Pr3ScS8
1.0
7.1545 -4.1273 0.0000
7.1545 4.1273 0.0000
-4.7744 0.0000 7.4919
K Pr Sc S
3 3 1 8
direct
0.0000 0.0000 0.0000
0.0000 0.5000 0.0000
0.5000 0.0000 0.0000
0.0000 0.5000 0.5000
0.5000 0.0000 0.5000
0.5000 0.5000 0.5000
0.0000 0.0000 0.5000
0.2192 0.2192 0.6938
0.2192 0.7555 0.6938
0.2445 0.7808 0.3062
0.2630 0.2630 0.2891
0.7370 0.7370 0.7109
0.7555 0.2192 0.6938
0.7808 0.2445 0.3062
0.7808 0.7808 0.3062
```

4.
Simulated powder diffractogram
Compound: K3Pr3SiS8
Radiation: λ = 1.5418 Å (Cu Kα)
Structure: a DFT-relaxed cell (PBE, Alexandria)
Intensities are scaled so that the largest is 100.

Most intense lines, 2θ from 15° to 90°, sorted by position:
d 3.755, 2θ = 23.70°, I = 14
d 3.486, 2θ = 25.55°, I = 21
d 3.367, 2θ = 26.47°, I = 24
d 2.990, 2θ = 29.88°, I = 100
d 2.378, 2θ = 37.84°, I = 22
d 2.201, 2θ = 41.01°, I = 32
d 2.037, 2θ = 44.47°, I = 31
d 1.966, 2θ = 46.17°, I = 16
d 1.791, 2θ = 51.00°, I = 13
d 1.684, 2θ = 54.50°, I = 15

Structural model:
```
K3Pr3SiS8
1.0
4.0745 2.3524 7.5092
-4.0745 2.3524 7.5092
0.0000 -4.7048 7.5092
K Pr Si S
3 3 1 8
direct
0.0000 0.5000 0.5000
0.5000 0.0000 0.5000
0.5000 0.5000 0.0000
0.0000 0.0000 0.5000
0.0000 0.5000 0.0000
0.5000 0.0000 0.0000
0.5000 0.5000 0.5000
0.2368 0.2368 0.2368
0.2792 0.7017 0.7017
0.2983 0.2983 0.7208
0.2983 0.7208 0.2983
0.7017 0.2792 0.7017
0.7017 0.7017 0.2792
0.7208 0.2983 0.2983
0.7632 0.7632 0.7632
```

5.
Simulated powder diffractogram
Compound: KTb4PrS8
Radiation: λ = 1.5418 Å (Cu Kα)
Structure: a DFT-relaxed cell (PBE, Alexandria)
Intensities are scaled so that the largest is 100.

Most intense lines, 2θ from 15° to 90°, sorted by position:
d 3.575, 2θ = 24.91°, I = 48
d 3.539, 2θ = 25.17°, I = 100
d 3.521, 2θ = 25.30°, I = 54
d 3.377, 2θ = 26.40°, I = 29
d 2.938, 2θ = 30.43°, I = 72
d 2.274, 2θ = 39.62°, I = 26
d 2.260, 2θ = 39.88°, I = 39
d 2.251, 2θ = 40.05°, I = 31
d 2.092, 2θ = 43.25°, I = 65
d 2.063, 2θ = 43.89°, I = 63

Structural model:
```
KTb4PrS8
1.0
4.1260 2.3821 6.8812
-4.1260 2.3821 6.8812
0.0000 -4.7643 6.8812
K Tb Pr S
1 4 1 8
direct
0.0000 0.0000 0.0000
0.1154 0.6326 0.6326
0.2540 0.2540 0.2540
0.6326 0.1154 0.6326
0.6326 0.6326 0.1154
0.6325 0.6325 0.6325
0.3812 0.3812 0.8593
0.3812 0.8593 0.3812
0.3856 0.3856 0.3856
0.4255 0.8679 0.8679
0.8593 0.3812 0.3812
0.8608 0.8608 0.8608
0.8679 0.4255 0.8679
0.8679 0.8679 0.4255
```

6.
Simulated powder diffractogram
Compound: K2PrTlS4
Radiation: λ = 1.5418 Å (Cu Kα)
Structure: a DFT-relaxed cell (PBE, Alexandria)
Intensities are scaled so that the largest is 100.

Most intense lines, 2θ from 15° to 90°, sorted by position:
d 3.684, 2θ = 24.16°, I = 45
d 3.509, 2θ = 25.39°, I = 78
d 3.464, 2θ = 25.71°, I = 74
d 3.067, 2θ = 29.12°, I = 100
d 3.040, 2θ = 29.38°, I = 97
d 2.955, 2θ = 30.25°, I = 86
d 2.159, 2θ = 41.85°, I = 70
d 2.128, 2θ = 42.48°, I = 65
d 1.754, 2θ = 52.14°, I = 34
d 1.361, 2θ = 68.98°, I = 36

Structural model:
```
K2PrTlS4
1.0
5.9107 -6.1332 0.0000
5.9107 6.1332 0.0000
-5.7971 0.0000 6.0792
K Pr Tl S
4 2 2 8
direct
0.0000 0.0000 0.0000
0.0000 0.0000 0.5000
0.0000 0.5000 0.0000
0.5000 0.0000 0.5000
0.0000 0.5000 0.5000
0.5000 0.0000 0.0000
0.5000 0.5000 0.0000
0.5000 0.5000 0.5000
0.2528 0.7393 0.9721
0.2607 0.7472 0.5279
0.2763 0.2954 0.5185
0.2954 0.2763 0.0185
0.7046 0.7237 0.9815
0.7237 0.7046 0.4815
0.7393 0.2528 0.4721
0.7472 0.2607 0.0279
```

7.
Simulated powder diffractogram
Compound: K3Pr2TmS6
Radiation: λ = 1.5418 Å (Cu Kα)
Structure: a DFT-relaxed cell (PBE, Alexandria)
Intensities are scaled so that the largest is 100.

Most intense lines, 2θ from 15° to 90°, sorted by position:
d 3.698, 2θ = 24.07°, I = 15
d 3.551, 2θ = 25.08°, I = 24
d 3.422, 2θ = 26.04°, I = 33
d 3.018, 2θ = 29.60°, I = 100
d 2.378, 2θ = 37.83°, I = 18
d 2.196, 2θ = 41.10°, I = 35
d 2.077, 2θ = 43.57°, I = 34
d 2.000, 2θ = 45.35°, I = 16
d 1.711, 2θ = 53.56°, I = 17
d 1.321, 2θ = 71.43°, I = 14

Structural model:
```
K3Pr2TmS6
1.0
3.5975 -6.2313 0.0000
3.5975 6.2313 0.0000
-2.4025 0.0000 7.3953
K Pr Tm S
3 2 1 6
direct
0.0000 0.0000 0.0000
0.3323 0.6677 0.0000
0.6677 0.3323 0.0000
0.1665 0.8335 0.5000
0.8335 0.1665 0.5000
0.5000 0.5000 0.5000
0.1113 0.4315 0.2946
0.2484 0.2484 0.7050
0.4315 0.1113 0.2946
0.5685 0.8887 0.7054
0.7516 0.7516 0.2950
0.8887 0.5685 0.7054
```

8.
Simulated powder diffractogram
Compound: KPrUS4
Radiation: λ = 1.5418 Å (Cu Kα)
Structure: a DFT-relaxed cell (PBE, Alexandria)
Intensities are scaled so that the largest is 100.

Most intense lines, 2θ from 15° to 90°, sorted by position:
d 3.663, 2θ = 24.30°, I = 30
d 3.642, 2θ = 24.44°, I = 31
d 3.591, 2θ = 24.80°, I = 64
d 3.516, 2θ = 25.33°, I = 30
d 3.431, 2θ = 25.97°, I = 26
d 3.008, 2θ = 29.70°, I = 100
d 2.330, 2θ = 38.64°, I = 33
d 2.320, 2θ = 38.81°, I = 17
d 2.127, 2θ = 42.50°, I = 65
d 1.345, 2θ = 69.92°, I = 18

Structural model:
```
KPrUS4
1.0
-4.1761 4.3309 6.0207
4.1761 -4.3309 6.0207
4.1761 4.3309 -6.0207
K Pr U S
2 2 2 8
direct
0.3795 0.1295 0.2500
0.6205 0.8705 0.7500
0.0000 0.5000 0.5000
0.5000 0.5000 0.0000
0.0000 0.0000 0.5000
0.0000 0.5000 0.0000
0.1913 0.7380 0.4533
0.2153 0.2620 0.9533
0.2228 0.2496 0.5269
0.2228 0.6959 0.9731
0.7772 0.3041 0.0269
0.7772 0.7504 0.4731
0.7847 0.7380 0.0467
0.8087 0.2620 0.5467
```

9.
Simulated powder diffractogram
Compound: K4Pr3SbSe8
Radiation: λ = 1.5418 Å (Cu Kα)
Structure: a DFT-relaxed cell (PBE, Alexandria)
Intensities are scaled so that the largest is 100.

Most intense lines, 2θ from 15° to 90°, sorted by position:
d 3.157, 2θ = 28.26°, I = 100
d 2.483, 2θ = 36.18°, I = 16
d 2.292, 2θ = 39.31°, I = 34
d 2.177, 2θ = 41.47°, I = 36
d 2.095, 2θ = 43.18°, I = 11
d 1.793, 2θ = 50.94°, I = 19
d 1.579, 2θ = 58.46°, I = 10
d 1.442, 2θ = 64.64°, I = 12
d 1.384, 2θ = 67.70°, I = 16
d 1.257, 2θ = 75.65°, I = 13

Structural model:
```
K4Pr3SbSe8
1.0
4.3550 2.5144 7.6972
-4.3550 2.5144 7.6972
0.0000 -5.0287 7.6972
K Pr Sb Se
4 3 1 8
direct
0.0000 0.0000 0.0000
0.0000 0.5000 0.5000
0.5000 0.0000 0.5000
0.5000 0.5000 0.0000
0.0000 0.0000 0.5000
0.0000 0.5000 0.0000
0.5000 0.0000 0.0000
0.5000 0.5000 0.5000
0.2377 0.2377 0.2377
0.2437 0.7328 0.7328
0.2672 0.2672 0.7563
0.2672 0.7563 0.2672
0.7328 0.2437 0.7328
0.7328 0.7328 0.2437
0.7563 0.2672 0.2672
0.7623 0.7623 0.7623
```

10.
Simulated powder diffractogram
Compound: K3TbPr2Se6
Radiation: λ = 1.5418 Å (Cu Kα)
Structure: a DFT-relaxed cell (PBE, Alexandria)
Intensities are scaled so that the largest is 100.

Most intense lines, 2θ from 15° to 90°, sorted by position:
d 3.703, 2θ = 24.03°, I = 11
d 3.147, 2θ = 28.36°, I = 100
d 2.479, 2θ = 36.23°, I = 17
d 2.290, 2θ = 39.35°, I = 35
d 2.166, 2θ = 41.70°, I = 36
d 2.085, 2θ = 43.39°, I = 12
d 1.784, 2θ = 51.20°, I = 19
d 1.573, 2θ = 58.67°, I = 10
d 1.440, 2θ = 64.76°, I = 12
d 1.377, 2θ = 68.08°, I = 15

Structural model:
```
K3TbPr2Se6
1.0
3.7515 -6.4982 0.0000
3.7515 6.4982 0.0000
-2.5030 0.0000 7.7071
K Tb Pr Se
3 1 2 6
direct
0.0000 0.0000 0.0000
0.3321 0.6679 0.0000
0.6679 0.3321 0.0000
0.5000 0.5000 0.5000
0.1665 0.8335 0.5000
0.8335 0.1665 0.5000
0.1051 0.4300 0.2899
0.2453 0.2453 0.7101
0.4300 0.1051 0.2899
0.5700 0.8949 0.7101
0.7547 0.7547 0.2899
0.8949 0.5700 0.7101
```

11.
Simulated powder diffractogram
Compound: KPr2TeSe4
Radiation: λ = 1.5418 Å (Cu Kα)
Structure: a DFT-relaxed cell (PBE, Alexandria)
Intensities are scaled so that the largest is 100.

Most intense lines, 2θ from 15° to 90°, sorted by position:
d 3.469, 2θ = 25.68°, I = 39
d 3.050, 2θ = 29.28°, I = 100
d 2.887, 2θ = 30.97°, I = 31
d 2.796, 2θ = 32.01°, I = 79
d 2.605, 2θ = 34.43°, I = 20
d 2.371, 2θ = 37.94°, I = 37
d 2.246, 2θ = 40.16°, I = 20
d 2.203, 2θ = 40.97°, I = 34
d 1.773, 2θ = 51.54°, I = 18
d 1.682, 2θ = 54.55°, I = 18

Structural model:
```
KPr2TeSe4
1.0
2.2028 -7.5403 0.0000
2.2028 7.5403 0.0000
0.0000 0.0000 15.6275
K Pr Te Se
2 4 2 8
direct
0.1624 0.8376 0.7500
0.8376 0.1624 0.2500
0.3687 0.6313 0.5575
0.3687 0.6313 0.9425
0.6313 0.3687 0.0575
0.6313 0.3687 0.4425
0.0935 0.9065 0.2500
0.9065 0.0935 0.7500
0.0000 0.0000 0.0000
0.0000 0.0000 0.5000
0.2666 0.7334 0.0984
0.2666 0.7334 0.4016
0.4973 0.5027 0.7500
0.5027 0.4973 0.2500
0.7334 0.2666 0.5984
0.7334 0.2666 0.9016
```

12.
Simulated powder diffractogram
Compound: K3PrU3Se8
Radiation: λ = 1.5418 Å (Cu Kα)
Structure: a DFT-relaxed cell (PBE, Alexandria)
Intensities are scaled so that the largest is 100.

Most intense lines, 2θ from 15° to 90°, sorted by position:
d 3.635, 2θ = 24.49°, I = 25
d 3.113, 2θ = 28.67°, I = 100
d 2.472, 2θ = 36.35°, I = 26
d 2.287, 2θ = 39.40°, I = 36
d 2.125, 2θ = 42.55°, I = 36
d 2.050, 2θ = 44.19°, I = 20
d 1.839, 2θ = 49.57°, I = 15
d 1.755, 2θ = 52.12°, I = 19
d 1.353, 2θ = 69.47°, I = 16
d 1.256, 2θ = 75.71°, I = 14

Structural model:
```
K3PrU3Se8
1.0
7.3614 -4.2486 0.0000
7.3614 4.2486 0.0000
-4.8915 0.0000 7.7853
K Pr U Se
3 1 3 8
direct
0.0000 0.0000 0.0000
0.0000 0.5000 0.0000
0.5000 0.0000 0.0000
0.0000 0.0000 0.5000
0.0000 0.5000 0.5000
0.5000 0.0000 0.5000
0.5000 0.5000 0.5000
0.2404 0.2404 0.7049
0.2399 0.7254 0.7064
0.2638 0.2638 0.2934
0.2746 0.7601 0.2936
0.7254 0.2399 0.7064
0.7362 0.7362 0.7066
0.7601 0.2746 0.2936
0.7596 0.7596 0.2951
```

Copy entry 1 word for word.
Simulated powder diffractogram
Compound: KPr3S4
Radiation: λ = 1.5418 Å (Cu Kα)
Structure: a DFT-relaxed cell (PBE, Alexandria)
Intensities are scaled so that the largest is 100.

Most intense lines, 2θ from 15° to 90°, sorted by position:
d 3.531, 2θ = 25.22°, I = 38
d 3.365, 2θ = 26.49°, I = 59
d 3.210, 2θ = 27.80°, I = 89
d 3.038, 2θ = 29.40°, I = 70
d 2.861, 2θ = 31.26°, I = 100
d 2.688, 2θ = 33.34°, I = 47
d 2.091, 2θ = 43.26°, I = 49
d 2.080, 2θ = 43.50°, I = 85
d 1.971, 2θ = 46.06°, I = 39
d 1.792, 2θ = 50.95°, I = 35

Structural model:
```
KPr3S4
1.0
4.1606 0.0000 0.0000
-2.0803 3.6032 0.0000
0.0000 0.0000 28.2482
K Pr S
2 6 8
direct
0.3333 0.6667 0.2500
0.6667 0.3333 0.7500
0.0000 0.0000 0.0000
0.0000 0.0000 0.5000
0.3333 0.6667 0.6177
0.3333 0.6667 0.8823
0.6667 0.3333 0.1177
0.6667 0.3333 0.3823
0.0000 0.0000 0.1730
0.0000 0.0000 0.3270
0.0000 0.0000 0.6730
0.0000 0.0000 0.8270
0.3333 0.6667 0.0593
0.3333 0.6667 0.4407
0.6667 0.3333 0.5593
0.6667 0.3333 0.9407
```